[1]
For AlCr2P, the PBE geometry in Alexandria gives the computed powder diffraction line list in this record (Cu Kα X-rays).

Main lines, by intensity (10° ≤ 2θ ≤ 90°):
| Position (°2θ) | I (rel.) |
| --- | --- |
| 45.1 | 100 |
| 42.5 | 63 |
| 79.6 | 33 |
| 16.4 | 19 |
| 61.7 | 19 |
| 85.0 | 12 |
| 34.1 | 11 |
| 69.5 | 5 |
| 45.8 | 5 |
| 59.8 | 3 |

Structural model:
Cell lengths 3.007, 3.007, 5.411 Å; angles 90.00, 90.00, 90.00 degrees
Sites, in units of the cell vectors:
Al: 0.000 0.000 0.000
Cr: 0.000 0.000 0.516
Cr: 0.500 0.500 0.250
P: 0.500 0.500 0.717

=====

[2]
For CrRuN, the PBE geometry in Alexandria gives the computed powder diffraction line list in this record (Cu Kα X-rays).

Main lines, by intensity (10° ≤ 2θ ≤ 90°):
| Position (°2θ) | I (rel.) |
| --- | --- |
| 39.2 | 100 |
| 47.0 | 41 |
| 65.3 | 24 |
| 42.7 | 23 |
| 82.0 | 22 |
| 32.7 | 16 |
| 54.8 | 15 |
| 68.6 | 12 |
| 21.0 | 12 |
| 84.3 | 11 |

Structural model:
Cell lengths 2.735, 2.735, 4.239 Å; angles 90.00, 90.00, 90.00 degrees
Sites, in units of the cell vectors:
Cr: 0.000 0.000 0.000
Ru: 0.500 0.500 0.432
N: 0.500 0.500 0.895

=====

[3]
For Hg3Se2F2, the PBE geometry in Alexandria gives the computed powder diffraction line list in this record (Cu Kα X-rays).

Main lines, by intensity (10° ≤ 2θ ≤ 90°):
| Position (°2θ) | I (rel.) |
| --- | --- |
| 25.1 | 100 |
| 32.6 | 74 |
| 53.9 | 48 |
| 38.8 | 33 |
| 46.8 | 28 |
| 66.4 | 21 |
| 81.5 | 19 |
| 20.5 | 17 |
| 49.2 | 14 |
| 88.7 | 14 |

Structural model:
Cell lengths 7.517, 7.517, 7.517 Å; angles 109.47, 109.47, 109.47 degrees
Sites, in units of the cell vectors:
Hg: 0.160 0.750 0.910
Hg: 0.250 0.590 0.340
Hg: 0.340 0.250 0.590
Hg: 0.590 0.340 0.250
Hg: 0.750 0.910 0.160
Hg: 0.910 0.160 0.750
Se: 0.000 0.926 0.500
Se: 0.500 0.000 0.926
Se: 0.574 0.574 0.574
Se: 0.926 0.500 0.000
F: 0.000 0.000 0.000
F: 0.000 0.500 0.500
F: 0.500 0.000 0.500
F: 0.500 0.500 0.000

=====

[4]
For La7Cd3Ag2, the PBE geometry in Alexandria gives the computed powder diffraction line list in this record (Cu Kα X-rays).

Main lines, by intensity (10° ≤ 2θ ≤ 90°):
| Position (°2θ) | I (rel.) |
| --- | --- |
| 33.8 | 100 |
| 31.8 | 98 |
| 28.7 | 50 |
| 45.7 | 36 |
| 58.0 | 21 |
| 58.0 | 21 |
| 39.7 | 17 |
| 54.8 | 17 |
| 75.7 | 16 |
| 29.7 | 12 |

Structural model:
Cell lengths 12.763, 12.763, 5.623 Å; angles 90.00, 90.00, 154.58 degrees
Sites, in units of the cell vectors:
La: 0.000 0.000 0.000
La: 0.099 0.901 0.500
La: 0.276 0.724 0.000
La: 0.416 0.584 0.000
La: 0.584 0.416 0.000
La: 0.724 0.276 0.000
La: 0.901 0.099 0.500
Cd: 0.336 0.664 0.500
Cd: 0.500 0.500 0.500
Cd: 0.664 0.336 0.500
Ag: 0.150 0.850 0.000
Ag: 0.850 0.150 0.000

=====

[5]
For Ta2V5W2, the PBE geometry in Alexandria gives the computed powder diffraction line list in this record (Cu Kα X-rays).

Main lines, by intensity (10° ≤ 2θ ≤ 90°):
| Position (°2θ) | I (rel.) |
| --- | --- |
| 19.7 | 100 |
| 39.5 | 74 |
| 39.8 | 72 |
| 39.9 | 72 |
| 35.0 | 54 |
| 36.0 | 50 |
| 39.0 | 48 |
| 40.1 | 44 |
| 42.5 | 39 |
| 41.8 | 36 |

Structural model:
Cell lengths 2.964, 6.600, 7.116 Å; angles 82.58, 88.63, 86.15 degrees
Sites, in units of the cell vectors:
Ta: 0.240 0.372 0.365
Ta: 0.760 0.628 0.635
V: 0.000 0.000 0.500
V: 0.229 0.384 0.920
V: 0.342 0.785 0.297
V: 0.658 0.215 0.703
V: 0.771 0.616 0.080
W: 0.253 0.894 0.874
W: 0.747 0.106 0.126

=====

[6]
For Ba2SrPaSe6, the PBE geometry in Alexandria gives the computed powder diffraction line list in this record (Cu Kα X-rays).

Main lines, by intensity (10° ≤ 2θ ≤ 90°):
| Position (°2θ) | I (rel.) |
| --- | --- |
| 32.0 | 100 |
| 22.5 | 93 |
| 23.1 | 91 |
| 32.8 | 78 |
| 13.5 | 63 |
| 26.7 | 63 |
| 40.0 | 61 |
| 41.1 | 50 |
| 39.7 | 44 |
| 35.0 | 39 |

Structural model:
Cell lengths 7.662, 8.175, 13.127 Å; angles 90.00, 123.66, 90.00 degrees
Sites, in units of the cell vectors:
Ba: 0.212 0.079 0.243
Ba: 0.212 0.421 0.743
Ba: 0.788 0.579 0.257
Ba: 0.788 0.921 0.757
Sr: 0.000 0.000 0.500
Sr: 0.000 0.500 0.000
Pa: 0.500 0.000 0.000
Pa: 0.500 0.500 0.500
Se: 0.157 0.187 0.947
Se: 0.157 0.313 0.447
Se: 0.255 0.718 0.934
Se: 0.255 0.782 0.434
Se: 0.380 0.039 0.761
Se: 0.380 0.461 0.261
Se: 0.620 0.539 0.739
Se: 0.620 0.961 0.239
Se: 0.745 0.218 0.566
Se: 0.745 0.282 0.066
Se: 0.843 0.687 0.553
Se: 0.843 0.813 0.053

=====

[7]
For Ga, the PBE geometry in Alexandria gives the computed powder diffraction line list in this record (Cu Kα X-rays).

Main lines, by intensity (10° ≤ 2θ ≤ 90°):
| Position (°2θ) | I (rel.) |
| --- | --- |
| 36.2 | 100 |
| 42.7 | 62 |
| 35.7 | 61 |
| 39.6 | 46 |
| 43.2 | 36 |
| 59.6 | 22 |
| 35.1 | 20 |
| 65.1 | 17 |
| 71.8 | 15 |
| 73.4 | 12 |

Structural model:
Cell lengths 2.880, 2.880, 5.380 Å; angles 107.31, 107.31, 64.79 degrees
Sites, in units of the cell vectors:
Ga: 0.186 0.814 0.750
Ga: 0.814 0.186 0.250

=====

[8]
For Ba2SrSe2Br2, the PBE geometry in Alexandria gives the computed powder diffraction line list in this record (Cu Kα X-rays).

Main lines, by intensity (10° ≤ 2θ ≤ 90°):
| Position (°2θ) | I (rel.) |
| --- | --- |
| 30.8 | 100 |
| 31.2 | 66 |
| 44.4 | 49 |
| 21.6 | 47 |
| 44.1 | 29 |
| 10.7 | 21 |
| 54.7 | 18 |
| 64.3 | 16 |
| 24.2 | 16 |
| 72.8 | 14 |

Structural model:
Cell lengths 9.206, 9.206, 9.206 Å; angles 143.20, 143.20, 53.03 degrees
Sites, in units of the cell vectors:
Ba: 0.117 0.117 0.000
Ba: 0.883 0.883 0.000
Sr: 0.500 0.500 0.000
Se: 0.000 0.500 0.500
Se: 0.500 0.000 0.500
Br: 0.309 0.309 0.000
Br: 0.691 0.691 0.000